Y6PtRh5: calculated XRD peak list (Cu Kα), based on a structure optimized by DFT (PBE).
Neutral-atom scattering factors, no anomalous dispersion.

Structure:
Unit cell a=4.8423 b=6.9927 c=7.6558 alpha=90.00 beta=108.30 gamma=90.00
Fractional coordinates of all 12 atoms:
Y: 0.0000 0.2484 0.0000
Y: 0.0000 0.7516 0.0000
Y: 0.3324 0.2494 0.6650
Y: 0.3324 0.7506 0.6650
Y: 0.6676 0.2494 0.3350
Y: 0.6676 0.7506 0.3350
Pt: 0.5000 0.5000 0.0000
Rh: 0.1663 0.0000 0.3319
Rh: 0.1684 0.5000 0.3363
Rh: 0.5000 0.0000 0.0000
Rh: 0.8316 0.5000 0.6637
Rh: 0.8337 0.0000 0.6681

Peak list (10 most intense, 5 to 70 degrees two-theta, low angle first)
hkl 1 1 0, 2θ 23.17, I = 15
hkl 1 0 1, 2θ 26.01, I = 23
hkl 1 2 1, 2θ 36.73, I = 1000
hkl 0 0 3, 2θ 37.12, I = 485
hkl 0 4 0, 2θ 52.33, I = 90
hkl 2 0 2, 2θ 53.44, I = 83
hkl 2 0 -4, 2θ 53.57, I = 83
hkl 0 4 3, 2θ 65.89, I = 175
hkl 3 2 0, 2θ 66.64, I = 253
hkl 3 2 -3, 2θ 66.72, I = 84